Diffraction record for KAuI4O12. The powder X-ray diffraction pattern is computed, not measured: it uses a structure optimized by DFT (PBE) and Cu Kα (weighted mean of Kα1 and Kα2).
Intensities are scaled so that the largest is 100.

Main lines, by angle (2θ = 15–90°):
2θ (°)  d/Å  I/Imax  index
16.7  5.305  72.6  1 1 0
18.9  4.692  46.8  1 1 -1
25.2  3.534  35.4  3 1 -1
25.6  3.485  97.9  3 1 0
26.3  3.387  100.0  1 1 -2
29.5  3.031  43.0  4 0 -2
29.8  2.995  67.9  2 0 2
33.8  2.652  26.1  2 2 0
38.4  2.343  30.9  2 2 -2
43.4  2.085  26.9  2 0 -4

```
data_KAuI4O12
_cell_length_a 13.7697
_cell_length_b 5.8039
_cell_length_c 8.3413
_cell_angle_alpha 90.00
_cell_angle_beta 108.32
_cell_angle_gamma 90.00
_space_group_name_H-M_alt 'C 1 2 1'
_space_group_IT_number 5
loop_
_space_group_symop_operation_xyz
'x,y,z'
'-x,y,-z'
'x+1/2,y+1/2,z'
'-x+1/2,y+1/2,-z'
loop_
_atom_site_label
_atom_site_type_symbol
_atom_site_fract_x
_atom_site_fract_y
_atom_site_fract_z
K1 K 0.0000 0.0000 0.0000
Au1 Au 0.0000 0.1989 0.5000
I1 I 0.1485 0.5048 0.3386
I2 I 0.1820 0.4426 0.8374
O1 O 0.0228 0.5915 0.2044
O2 O 0.1041 0.1788 0.7308
O3 O 0.1129 0.1987 0.3918
O4 O 0.1533 0.6448 0.5369
O5 O 0.1958 0.3186 0.0451
O6 O 0.1967 0.8473 0.1841
```